# 1
Theoretical powder diffraction line list
Compound: TbPrSeS
Radiation: CuKα
Structure: a GGA-PBE-relaxed structure
Kinematic intensities with the Lorentz-polarization factor, no thermal factor.

Most intense lines, 2θ from 5° to 70°, low angle first:
2θ (°), d [Å], intensity
26.2, 3.397, 9
26.7, 3.334, 29
30.8, 2.901, 100
33.6, 2.668, 7
43.8, 2.066, 34
44.5, 2.037, 37
52.4, 1.747, 9
55.1, 1.667, 19
61.2, 1.515, 5
64.2, 1.450, 11

Structural model:
Lattice parameters (Å, degrees): 4.0743 4.0743 20.3824 90.00 90.00 120.00
Space group R3m (No. 160, hexagonal axes)
Inequivalent atoms, fractional coordinates:
1 Tb 0.0000 0.0000 0.0000 (multiplicity 3)
2 Pr 0.0000 0.0000 0.5158 (multiplicity 3)
3 Se 0.0000 0.0000 0.7531 (multiplicity 3)
4 S 0.0000 0.0000 0.2636 (multiplicity 3)

***

# 2
Theoretical powder diffraction line list
Compound: CrNiAs4
Radiation: CuKα
Structure: a GGA-PBE-relaxed structure
Kinematic intensities with the Lorentz-polarization factor, no thermal factor.

Most intense lines, 2θ from 5° to 70°, low angle first:
2θ (°), d [Å], intensity
31.6, 2.829, 50
33.0, 2.713, 100
33.3, 2.691, 67
35.0, 2.563, 78
36.5, 2.458, 96
36.7, 2.446, 50
38.1, 2.364, 60
49.9, 1.829, 75
50.3, 1.815, 73
57.4, 1.605, 33

Structural model:
Lattice parameters (Å, degrees): 6.117 5.658 6.054 90.00 90.11 90.00
Space group P2_1/c (No. 14)
Inequivalent atoms, fractional coordinates:
1 Cr 0.000 0.000 0.000 (multiplicity 2)
2 Ni 0.500 0.000 0.500 (multiplicity 2)
3 As 0.138 0.092 0.622 (multiplicity 4)
4 As 0.383 0.612 0.633 (multiplicity 4)

***

# 3
Theoretical powder diffraction line list
Compound: Sr2TlPt
Radiation: CuKα
Structure: a GGA-PBE-relaxed structure
Kinematic intensities with the Lorentz-polarization factor, no thermal factor.

Most intense lines, 2θ from 5° to 70°, low angle first:
2θ (°), d [Å], intensity
15.0, 5.902, 47
21.1, 4.206, 56
28.4, 3.147, 82
30.2, 2.962, 29
35.7, 2.513, 100
35.8, 2.506, 54
37.9, 2.372, 34
40.1, 2.250, 29
54.8, 1.674, 32
67.1, 1.394, 25

Structural model:
Lattice parameters (Å, degrees): 4.743 4.501 11.804 90.00 90.00 90.00
Space group Amm2 (No. 38)
Inequivalent atoms, fractional coordinates:
1 Sr 0.000 0.000 0.000 (multiplicity 2)
2 Sr 0.500 0.000 0.287 (multiplicity 2)
3 Tl 0.500 0.000 0.580 (multiplicity 2)
4 Pt 0.000 0.000 0.716 (multiplicity 2)

***

# 4
Theoretical powder diffraction line list
Compound: Dy12HoTm2
Radiation: CuKα
Structure: a GGA-PBE-relaxed structure
Kinematic intensities with the Lorentz-polarization factor, no thermal factor.

Most intense lines, 2θ from 5° to 70°, low angle first:
2θ (°), d [Å], intensity
30.5, 2.935, 100
31.3, 2.856, 50
32.2, 2.777, 70
32.4, 2.760, 39
32.6, 2.744, 67
33.8, 2.654, 40
46.4, 1.958, 29
51.5, 1.774, 19
56.4, 1.632, 18
62.1, 1.495, 21

Structural model:
Lattice parameters (Å, degrees): 3.548 5.553 24.230 90.00 94.12 90.00
Space group P2/m (No. 10)
Inequivalent atoms, fractional coordinates:
1 Dy 0.040 0.000 0.074 (multiplicity 2)
2 Dy 0.226 0.000 0.444 (multiplicity 2)
3 Dy 0.284 0.500 0.576 (multiplicity 2)
4 Dy 0.331 0.000 0.671 (multiplicity 2)
5 Dy 0.396 0.000 0.799 (multiplicity 2)
6 Dy 0.426 0.500 0.862 (multiplicity 2)
7 Ho 0.500 0.500 0.000 (multiplicity 1)
8 Tm 0.139 0.500 0.271 (multiplicity 2)

***

# 5
Theoretical powder diffraction line list
Compound: K2PH3SO8
Radiation: CuKα
Structure: a GGA-PBE-relaxed structure
Kinematic intensities with the Lorentz-polarization factor, no thermal factor.

Most intense lines, 2θ from 5° to 70°, low angle first:
2θ (°), d [Å], intensity
23.8, 3.738, 89
23.9, 3.722, 100
26.3, 3.386, 33
27.1, 3.292, 33
27.2, 3.275, 68
27.4, 3.260, 72
28.2, 3.169, 31
28.6, 3.118, 22
33.4, 2.685, 22
36.9, 2.433, 35

Structural model:
Lattice parameters (Å, degrees): 7.480 9.737 11.234 88.56 88.22 88.86
Space group P-1 (No. 2)
Inequivalent atoms, fractional coordinates:
1 K 0.195 0.106 0.197 (multiplicity 2)
2 K 0.196 0.606 0.697 (multiplicity 2)
3 K 0.297 0.092 0.702 (multiplicity 2)
4 K 0.298 0.592 0.202 (multiplicity 2)
5 P 0.296 0.338 0.423 (multiplicity 2)
6 P 0.298 0.838 0.923 (multiplicity 2)
7 H 0.000 0.000 0.500 (multiplicity 1)
8 H 0.000 0.500 0.000 (multiplicity 1)
9 H 0.075 0.332 0.558 (multiplicity 2)
10 H 0.076 0.832 0.058 (multiplicity 2)
11 H 0.492 0.326 0.062 (multiplicity 2)
12 H 0.494 0.826 0.561 (multiplicity 2)
13 H 0.500 0.000 0.000 (multiplicity 1)
14 H 0.500 0.500 0.500 (multiplicity 1)
15 S 0.204 0.336 0.926 (multiplicity 2)
16 S 0.205 0.837 0.426 (multiplicity 2)
17 O 0.049 0.440 0.911 (multiplicity 2)
18 O 0.050 0.941 0.411 (multiplicity 2)
19 O 0.129 0.195 0.921 (multiplicity 2)
20 O 0.131 0.696 0.422 (multiplicity 2)
21 O 0.163 0.356 0.327 (multiplicity 2)
22 O 0.164 0.855 0.827 (multiplicity 2)
23 O 0.207 0.355 0.553 (multiplicity 2)
24 O 0.209 0.853 0.053 (multiplicity 2)
25 O 0.281 0.357 0.044 (multiplicity 2)
26 O 0.284 0.858 0.544 (multiplicity 2)
27 O 0.335 0.358 0.827 (multiplicity 2)
28 O 0.336 0.858 0.327 (multiplicity 2)
29 O 0.375 0.184 0.419 (multiplicity 2)
30 O 0.378 0.684 0.918 (multiplicity 2)
31 O 0.456 0.437 0.415 (multiplicity 2)
32 O 0.457 0.936 0.915 (multiplicity 2)

***

# 6
Theoretical powder diffraction line list
Compound: TaBe2Nb2
Radiation: CuKα
Structure: a GGA-PBE-relaxed structure
Kinematic intensities with the Lorentz-polarization factor, no thermal factor.

Most intense lines, 2θ from 5° to 70°, low angle first:
2θ (°), d [Å], intensity
19.2, 4.614, 56
30.6, 2.918, 33
32.9, 2.721, 72
38.4, 2.344, 100
39.0, 2.307, 34
40.9, 2.206, 37
43.9, 2.063, 53
58.3, 1.583, 16
63.8, 1.459, 18
66.9, 1.399, 27

Structural model:
Lattice parameters (Å, degrees): 6.525 6.525 3.370 90.00 90.00 90.00
Space group P4/mbm (No. 127)
Inequivalent atoms, fractional coordinates:
1 Ta 0.000 0.000 0.000 (multiplicity 2)
2 Be 0.114 0.386 0.000 (multiplicity 4)
3 Nb 0.179 0.679 0.500 (multiplicity 4)